Structure and theoretical X-ray diffraction stick pattern of CaTm2O4 (a cell relaxed with GGA-PBE; copper Kα).
Peak positions follow from Bragg's law for the DFT cell and can differ from measured ones.

The 10 most intense peaks (2θ = 15–90°), most intense first:
d (Å), intensity
2.876, 100
5.507, 91
2.753, 57
2.385, 50
1.686, 49
1.836, 40
1.438, 28
1.242, 21
1.612, 20
2.188, 19

Crystal structure
abc: 6.7444 6.7444 6.7444
angles: 60.00 60.00 60.00
Positions (direct):
Ca 0.1250 0.1250 0.1250
Ca 0.8750 0.8750 0.8750
Tm 0.0000 0.5000 0.5000
Tm 0.5000 0.0000 0.5000
Tm 0.5000 0.5000 0.0000
Tm 0.5000 0.5000 0.5000
O 0.2641 0.2641 0.2641
O 0.2641 0.2641 0.7077
O 0.2641 0.7077 0.2641
O 0.2923 0.7359 0.7359
O 0.7077 0.2641 0.2641
O 0.7359 0.2923 0.7359
O 0.7359 0.7359 0.2923
O 0.7359 0.7359 0.7359